No. 1
Simulated powder diffraction line list
Compound: Os2O3F7
Radiation: copper Kα
Structure: a crystal structure in OQMD, relaxed with GGA-PBE

Structural model:
```
data_Os2O3F7
_chemical_formula_sum 'Os8 O12 F28'
_space_group_name_H-M_alt 'P 1 21/c 1'
_space_group_IT_number 14
_cell_length_a 5.1592
_cell_length_b 9.4928
_cell_length_c 11.6960
_cell_angle_alpha 90.00
_cell_angle_beta 98.45
_cell_angle_gamma 90.00
loop_
_space_group_symop_operation_xyz
'x,y,z'
'-x,-y,-z'
'-x,y+1/2,-z+1/2'
'x,-y+1/2,z+1/2'
loop_
_atom_site_label
_atom_site_type_symbol
_atom_site_fract_x
_atom_site_fract_y
_atom_site_fract_z
_atom_site_occupancy
Os1 Os 0.0054 0.2439 0.0000 1
Os2 Os 0.3590 0.5087 0.2245 1
O1 O 0.4122 0.0781 0.8528 1
O2 O 0.4350 0.5755 0.8545 1
O3 O 0.4923 0.1673 0.2473 1
F1 F 0.0125 0.5686 0.2351 1
F2 F 0.0937 0.1655 0.6524 1
F3 F 0.0954 0.6665 0.6470 1
F4 F 0.1988 0.0856 0.0540 1
F5 F 0.2005 0.5859 0.0497 1
F6 F 0.2927 0.6687 0.4469 1
F7 F 0.3001 0.1720 0.4505 1
```

Top 8 peaks for 2θ from 15° to 90°, by angle:
(1 0 -2), d = 4.141 Å, rel. 60; (1 1 1), d = 4.018 Å, rel. 27; (0 2 2), d = 3.669 Å, rel. 100; (1 0 2), d = 3.574 Å, rel. 27; (1 2 0), d = 3.476 Å, rel. 59; (0 0 4), d = 2.892 Å, rel. 22; (1 2 -4), d = 2.342 Å, rel. 23; (1 4 -2), d = 2.059 Å, rel. 20

=====

No. 2
Simulated powder diffraction line list
Compound: Sb2OsO2F14
Radiation: copper Kα
Structure: a crystal structure in OQMD, relaxed with GGA-PBE

Structural model:
```
data_Sb2OsO2F14
_chemical_formula_sum 'Sb4 Os2 O4 F28'
_space_group_name_H-M_alt 'P -1'
_space_group_IT_number 2
_cell_length_a 7.1164
_cell_length_b 8.2192
_cell_length_c 9.5716
_cell_angle_alpha 97.66
_cell_angle_beta 110.92
_cell_angle_gamma 111.92
loop_
_space_group_symop_operation_xyz
'x,y,z'
'-x,-y,-z'
loop_
_atom_site_label
_atom_site_type_symbol
_atom_site_fract_x
_atom_site_fract_y
_atom_site_fract_z
_atom_site_occupancy
Sb1 Sb 0.0588 0.1489 0.3240 1
Sb2 Sb 0.4253 0.6907 0.8592 1
Os1 Os 0.3162 0.7381 0.2562 1
O1 O 0.2611 0.7387 0.4133 1
O2 O 0.4792 0.0430 0.6933 1
F1 F 0.0089 0.8268 0.5027 1
F2 F 0.0895 0.1378 0.1360 1
F3 F 0.0909 0.7873 0.1318 1
F4 F 0.1135 0.4922 0.1355 1
F5 F 0.1781 0.0945 0.7675 1
F6 F 0.1812 0.7690 0.7779 1
F7 F 0.1829 0.4523 0.7712 1
F8 F 0.2581 0.4034 0.4066 1
F9 F 0.2831 0.0735 0.4160 1
F10 F 0.3544 0.3800 0.0405 1
F11 F 0.3618 0.7124 0.0432 1
F12 F 0.3794 0.0551 0.0567 1
F13 F 0.4399 0.6811 0.6665 1
F14 F 0.4748 0.3536 0.6892 1
```

Top 8 peaks for 2θ from 15° to 90°, by angle:
(0 0 2), d = 4.256 Å, rel. 53; (1 0 1), d = 4.086 Å, rel. 37; (-1 1 2), d = 3.880 Å, rel. 35; (1 1 -2), d = 3.812 Å, rel. 100; (1 -2 1), d = 3.685 Å, rel. 50; (0 2 0), d = 3.628 Å, rel. 36; (2 -1 0), d = 3.319 Å, rel. 35; (1 3 0), d = 1.950 Å, rel. 32

=====

No. 3
Simulated powder diffraction line list
Compound: OsXeO4F6
Radiation: copper Kα
Structure: a crystal structure in OQMD, relaxed with GGA-PBE

Structural model:
```
data_OsXeO4F6
_chemical_formula_sum 'Os2 Xe2 O8 F12'
_space_group_name_H-M_alt 'P -1'
_space_group_IT_number 2
_cell_length_a 4.8452
_cell_length_b 7.4066
_cell_length_c 8.8047
_cell_angle_alpha 81.15
_cell_angle_beta 83.14
_cell_angle_gamma 88.75
loop_
_space_group_symop_operation_xyz
'x,y,z'
'-x,-y,-z'
loop_
_atom_site_label
_atom_site_type_symbol
_atom_site_fract_x
_atom_site_fract_y
_atom_site_fract_z
_atom_site_occupancy
Os1 Os 0.1226 0.1798 0.3596 1
Xe1 Xe 0.4392 0.2767 0.8397 1
O1 O 0.0067 0.2378 0.1832 1
O2 O 0.0749 0.6857 0.5284 1
O3 O 0.2601 0.4668 0.9189 1
O4 O 0.4449 0.2741 0.3403 1
F1 F 0.0978 0.1156 0.8796 1
F2 F 0.1985 0.5812 0.2142 1
F3 F 0.1993 0.0168 0.5734 1
F4 F 0.2861 0.9483 0.3047 1
F5 F 0.3491 0.3736 0.6233 1
F6 F 0.4468 0.8323 0.9493 1
```

Top 8 peaks for 2θ from 15° to 90°, by angle:
(1 0 1), d = 4.430 Å, rel. 67; (1 -1 0), d = 4.015 Å, rel. 83; (0 1 2), d = 3.997 Å, rel. 100; (1 1 1), d = 3.934 Å, rel. 54; (0 2 0), d = 3.659 Å, rel. 53; (-1 1 1), d = 3.620 Å, rel. 44; (0 1 -2), d = 3.494 Å, rel. 64; (1 1 -1), d = 3.419 Å, rel. 85

=====

No. 4
Simulated powder diffraction line list
Compound: PdOF2
Radiation: copper Kα
Structure: a crystal structure in OQMD, relaxed with GGA-PBE

Structural model:
```
data_PdOF2
_chemical_formula_sum 'Pd4 O4 F8'
_space_group_name_H-M_alt 'P c a 21'
_space_group_IT_number 29
_cell_length_a 4.9006
_cell_length_b 7.2001
_cell_length_c 4.9255
_cell_angle_alpha 90.00
_cell_angle_beta 90.00
_cell_angle_gamma 90.00
loop_
_space_group_symop_operation_xyz
'x,y,z'
'-x,-y,z+1/2'
'-x+1/2,y,z+1/2'
'x+1/2,-y,z'
loop_
_atom_site_label
_atom_site_type_symbol
_atom_site_fract_x
_atom_site_fract_y
_atom_site_fract_z
_atom_site_occupancy
Pd1 Pd 0.0049 0.1695 0.0000 1
O1 O 0.1817 0.0520 0.3171 1
F1 F 0.1558 0.7229 0.1569 1
F2 F 0.1616 0.3950 0.1207 1
```

Top 8 peaks for 2θ from 15° to 90°, by angle:
(0 2 0), d = 3.600 Å, rel. 14; (1 1 1), d = 3.129 Å, rel. 100; (1 2 1), d = 2.500 Å, rel. 45; (2 0 2), d = 1.737 Å, rel. 14; (0 3 2), d = 1.719 Å, rel. 14; (2 3 0), d = 1.715 Å, rel. 14; (1 4 1), d = 1.598 Å, rel. 18; (1 1 3), d = 1.522 Å, rel. 14

=====

No. 5
Simulated powder diffraction line list
Compound: PrOF2
Radiation: copper Kα
Structure: a crystal structure in OQMD, relaxed with GGA-PBE

Structural model:
```
data_PrOF2
_chemical_formula_sum 'Pr4 O4 F8'
_space_group_name_H-M_alt 'P c a 21'
_space_group_IT_number 29
_cell_length_a 5.3802
_cell_length_b 6.9337
_cell_length_c 5.0979
_cell_angle_alpha 90.00
_cell_angle_beta 90.00
_cell_angle_gamma 90.00
loop_
_space_group_symop_operation_xyz
'x,y,z'
'-x,-y,z+1/2'
'-x+1/2,y,z+1/2'
'x+1/2,-y,z'
loop_
_atom_site_label
_atom_site_type_symbol
_atom_site_fract_x
_atom_site_fract_y
_atom_site_fract_z
_atom_site_occupancy
Pr1 Pr 0.0090 0.2409 0.0000 1
O1 O 0.2305 0.5282 0.2295 1
F1 F 0.0522 0.2431 0.4940 1
F2 F 0.2503 0.9742 0.2462 1
```

Top 8 peaks for 2θ from 15° to 90°, by angle:
(0 2 0), d = 3.467 Å, rel. 31; (1 1 1), d = 3.265 Å, rel. 100; (2 0 0), d = 2.690 Å, rel. 15; (2 2 0), d = 2.125 Å, rel. 37; (0 2 2), d = 2.054 Å, rel. 34; (1 3 1), d = 1.960 Å, rel. 24; (2 0 2), d = 1.850 Å, rel. 23; (3 1 1), d = 1.644 Å, rel. 16

=====

No. 6
Simulated powder diffraction line list
Compound: Pr5Si2Se3O17F
Radiation: copper Kα
Structure: a crystal structure in OQMD, relaxed with GGA-PBE

Structural model:
```
data_Pr5Si2Se3O17F
_chemical_formula_sum 'Pr10 Si4 Se6 O34 F2'
_space_group_name_H-M_alt 'P -1'
_space_group_IT_number 2
_cell_length_a 6.9999
_cell_length_b 9.7871
_cell_length_c 12.8130
_cell_angle_alpha 70.38
_cell_angle_beta 77.07
_cell_angle_gamma 69.62
loop_
_space_group_symop_operation_xyz
'x,y,z'
'-x,-y,-z'
loop_
_atom_site_label
_atom_site_type_symbol
_atom_site_fract_x
_atom_site_fract_y
_atom_site_fract_z
_atom_site_occupancy
Pr1 Pr 0.0938 0.1381 0.3937 1
Pr2 Pr 0.2992 0.9725 0.7405 1
Pr3 Pr 0.3003 0.4176 0.6233 1
Pr4 Pr 0.3075 0.9208 0.1435 1
Pr5 Pr 0.3522 0.4696 0.2604 1
Si1 Si 0.1154 0.7243 0.3827 1
Si2 Si 0.4774 0.7953 0.5279 1
Se1 Se 0.0835 0.2303 0.8919 1
Se2 Se 0.0873 0.6241 0.8462 1
Se3 Se 0.4627 0.2969 0.0238 1
O1 O 0.0195 0.9089 0.3421 1
O2 O 0.0247 0.0800 0.8781 1
O3 O 0.0277 0.6282 0.3292 1
O4 O 0.0836 0.6598 0.5194 1
O5 O 0.0989 0.8006 0.7625 1
O6 O 0.1048 0.3792 0.2174 1
O7 O 0.1376 0.1721 0.0256 1
O8 O 0.2422 0.9063 0.5233 1
O9 O 0.2945 0.5073 0.7846 1
O10 O 0.3259 0.1947 0.8116 1
O11 O 0.3519 0.6745 0.0897 1
O12 O 0.3546 0.6917 0.3184 1
O13 O 0.3736 0.1701 0.5884 1
O14 O 0.4286 0.1957 0.3679 1
O15 O 0.4372 0.6869 0.8720 1
O16 O 0.4537 0.8998 0.9493 1
O17 O 0.4930 0.3894 0.4411 1
F1 F 0.3451 0.0481 0.2561 1
```

Top 8 peaks for 2θ from 15° to 90°, by angle:
(2 1 1), d = 3.495 Å, rel. 36; (0 2 -2), d = 3.148 Å, rel. 100; (-1 1 3), d = 3.119 Å, rel. 62; (2 2 0), d = 3.096 Å, rel. 95; (-1 2 2), d = 3.034 Å, rel. 42; (2 0 2), d = 3.019 Å, rel. 62; (1 3 3), d = 2.963 Å, rel. 90; (1 5 1), d = 1.919 Å, rel. 44